The following is a calculated XRD peak list of Sr2Y2Cr2O7. It was derived from DFT lattice parameters and positions (GGA+U), using Cu Kα (weighted mean of Kα1 and Kα2).
No peak broadening, texture or thermal motion is included.

The 10 most intense peaks (2θ from 15° to 90°), low angle first:
2θ 23.36, intensity 7.3, (2 1 1)
2θ 26.59, intensity 10.2, (4 1 1)
2θ 31.29, intensity 100.0, (0 2 0)
2θ 31.83, intensity 28.3, (0 0 2)
2θ 36.66, intensity 7.5, (10 0 0)
2θ 36.94, intensity 21.6, (8 1 1)
2θ 45.28, intensity 27.1, (0 2 2)
2θ 55.75, intensity 12.9, (6 3 1)
2θ 56.36, intensity 14.2, (6 1 3)
2θ 57.44, intensity 6.9, (14 1 1)

Crystal structure
a = 24.5129 Å, b = 5.7074 Å, c = 5.6228 Å
α = 90.00°, β = 90.00°, γ = 90.00°
Space group Ima2 (No. 46)
Symmetry-distinct sites (fractional):
Sr (0.1446, 0.0255, 0.0000) (multiplicity 8)
Y (0.0000, 0.0000, 0.0111) (multiplicity 4)
Y (0.2500, 0.5491, 0.9673) (multiplicity 4)
Cr (0.0711, 0.5020, 0.0173) (multiplicity 8)
O (0.0596, 0.2112, 0.2295) (multiplicity 8)
O (0.0644, 0.7054, 0.3135) (multiplicity 8)
O (0.1676, 0.0514, 0.5523) (multiplicity 8)
O (0.2500, 0.5828, 0.5757) (multiplicity 4)